Starting from the GGA-PBE geometry in Alexandria, the XRD peak list of PmHo3Ir4 was computed for a wavelength of 1.5418 Å.
Neutral-atom scattering factors, no anomalous dispersion.

Main lines, low angle first (10° ≤ 2θ ≤ 90°):
36.33°, I = 54, (2 0 0)
37.31°, I = 100, (1 1 2)
52.31°, I = 19, (2 2 0)
55.24°, I = 8, (0 0 4)
66.00°, I = 38, (3 1 2)
67.93°, I = 17, (2 0 4)
77.13°, I = 6, (4 0 0)
79.55°, I = 11, (2 2 4)
88.38°, I = 9, (4 2 0)
88.97°, I = 9, (3 3 2)

Crystal structure
a = 4.946 Å, b = 4.946 Å, c = 6.651 Å
α = 90.00°, β = 90.00°, γ = 90.00°
Space group P4/mmm (No. 123)
One atom of each set of equivalent atoms:
Pm: 0.000 0.000 0.000
Ho: 0.000 0.000 0.500
Ho: 0.500 0.500 0.000
Ho: 0.500 0.500 0.500
Ir: 0.000 0.500 0.255

=====

Starting from the GGA-PBE geometry in Alexandria, the XRD peak list of Pr5HoIr4 was computed for a wavelength of 1.5418 Å.
Neutral-atom scattering factors, no anomalous dispersion.

Main lines, low angle first (10° ≤ 2θ ≤ 90°):
19.35°, I = 13, (4 0 -1)
20.63°, I = 13, (4 0 0)
25.86°, I = 14, (1 1 1)
31.16°, I = 43, (6 0 0)
31.73°, I = 100, (3 1 -2)
41.03°, I = 71, (3 1 2)
41.85°, I = 26, (0 2 0)
47.67°, I = 18, (4 0 -4)
53.09°, I = 21, (6 2 0)
65.27°, I = 14, (4 2 -4)

Crystal structure
a = 18.819 Å, b = 4.318 Å, c = 7.631 Å
α = 90.00°, β = 113.78°, γ = 90.00°
Space group C2/m (No. 12)
One atom of each set of equivalent atoms:
Pr: 0.000 0.000 0.000
Pr: 0.164 0.500 0.421
Pr: 0.164 0.500 0.907
Ho: 0.000 0.000 0.500
Ir: 0.000 0.500 0.259
Ir: 0.197 0.000 0.697

=====

Starting from the GGA-PBE geometry in Alexandria, the XRD peak list of Ho5Ir2Pt2 was computed for a wavelength of 1.5418 Å.
Neutral-atom scattering factors, no anomalous dispersion.

Main lines, low angle first (10° ≤ 2θ ≤ 90°):
29.44°, I = 30, (2 2 1)
32.43°, I = 100, (3 1 2)
33.96°, I = 52, (0 2 2)
34.23°, I = 37, (4 0 2)
34.35°, I = 39, (4 2 0)
35.01°, I = 33, (5 1 1)
36.44°, I = 84, (4 2 1)
38.51°, I = 61, (1 1 3)
38.73°, I = 62, (1 3 1)
40.93°, I = 29, (5 1 2)

Crystal structure
a = 14.658 Å, b = 7.442 Å, c = 7.493 Å
α = 90.00°, β = 90.00°, γ = 90.00°
Space group Cmce (No. 64)
One atom of each set of equivalent atoms:
Ho: 0.000 0.000 0.000
Ho: 0.135 0.173 0.331
Ir: 0.000 0.130 0.629
Pt: 0.204 0.000 0.000

=====

Starting from the GGA-PBE geometry in Alexandria, the XRD peak list of Ho6IrPt3 was computed for a wavelength of 1.5418 Å.
Neutral-atom scattering factors, no anomalous dispersion.

Main lines, low angle first (10° ≤ 2θ ≤ 90°):
18.33°, I = 16, (1 2 0)
31.00°, I = 39, (1 3 1)
31.25°, I = 20, (2 3 0)
32.27°, I = 13, (2 2 1)
36.95°, I = 65, (1 4 1)
37.16°, I = 82, (0 0 2)
37.79°, I = 100, (3 0 1)
43.55°, I = 12, (1 5 1)
53.56°, I = 20, (2 4 2)
67.40°, I = 19, (3 0 3)

Crystal structure
a = 8.204 Å, b = 11.986 Å, c = 4.840 Å
α = 90.00°, β = 90.00°, γ = 90.00°
Space group Pnnm (No. 58)
One atom of each set of equivalent atoms:
Ho: 0.000 0.244 0.000
Ho: 0.150 0.407 0.500
Ho: 0.175 0.075 0.500
Ir: 0.000 0.500 0.000
Pt: 0.000 0.000 0.000
Pt: 0.166 0.828 0.500

=====

Starting from the GGA-PBE geometry in Alexandria, the XRD peak list of HoPuIr2 was computed for a wavelength of 1.5418 Å.
Neutral-atom scattering factors, no anomalous dispersion.

Main lines, low angle first (10° ≤ 2θ ≤ 90°):
33.01°, I = 100, (2 0 0)
33.26°, I = 32, (0 0 4)
36.97°, I = 28, (1 1 -4)
40.83°, I = 63, (2 0 -4)
44.18°, I = 16, (1 1 4)
45.77°, I = 47, (2 2 -1)
57.74°, I = 27, (2 2 -5)
66.72°, I = 15, (4 0 -2)
69.61°, I = 14, (1 1 -8)
76.54°, I = 15, (0 4 4)

Crystal structure
a = 5.604 Å, b = 5.611 Å, c = 11.138 Å
α = 90.00°, β = 104.64°, γ = 90.00°
Space group P2/c (No. 13)
One atom of each set of equivalent atoms:
Ho: 0.198 0.123 0.146
Pu: 0.303 0.377 0.858
Ir: 0.170 0.377 0.592
Ir: 0.331 0.127 0.415

=====

Starting from the GGA-PBE geometry in Alexandria, the XRD peak list of Ho8IrRh2 was computed for a wavelength of 1.5418 Å.
Neutral-atom scattering factors, no anomalous dispersion.

Main lines, low angle first (10° ≤ 2θ ≤ 90°):
27.13°, I = 46, (2 2 -1)
30.78°, I = 61, (1 1 -2)
31.11°, I = 89, (1 3 1)
32.27°, I = 73, (2 0 1)
32.65°, I = 100, (0 4 1)
33.75°, I = 92, (3 1 -1)
34.98°, I = 56, (0 2 2)
35.51°, I = 56, (2 2 -2)
36.89°, I = 84, (2 4 0)
39.38°, I = 76, (1 5 -1)

Crystal structure
a = 8.215 Å, b = 12.571 Å, c = 5.974 Å
α = 90.00°, β = 109.85°, γ = 90.00°
Space group Cm (No. 8)
One atom of each set of equivalent atoms:
Ho: 0.000 0.000 0.000
Ho: 0.069 0.371 0.771
Ho: 0.150 0.129 0.574
Ho: 0.213 0.500 0.359
Ho: 0.355 0.210 0.180
Ir: 0.355 0.000 0.349
Rh: 0.362 0.311 0.679

=====

Starting from the GGA-PBE geometry in Alexandria, the XRD peak list of Ho6IrRh3 was computed for a wavelength of 1.5418 Å.
Neutral-atom scattering factors, no anomalous dispersion.

Main lines, low angle first (10° ≤ 2θ ≤ 90°):
31.38°, I = 46, (1 3 1)
37.35°, I = 69, (1 4 1)
38.03°, I = 100, (0 0 2)
43.99°, I = 11, (2 5 0)
50.10°, I = 13, (4 3 0)
54.36°, I = 23, (4 4 0)
64.59°, I = 12, (4 3 2)
66.91°, I = 11, (2 8 0)
68.26°, I = 24, (4 4 2)
68.71°, I = 18, (3 0 3)

Crystal structure
a = 8.203 Å, b = 11.902 Å, c = 4.728 Å
α = 90.00°, β = 90.00°, γ = 90.00°
Space group Pnnm (No. 58)
One atom of each set of equivalent atoms:
Ho: 0.001 0.246 0.000
Ho: 0.162 0.412 0.500
Ho: 0.171 0.081 0.500
Ir: 0.000 0.500 0.000
Rh: 0.000 0.000 0.000
Rh: 0.165 0.837 0.500

=====

Starting from the GGA-PBE geometry in Alexandria, the XRD peak list of Ho6Ir3Ru was computed for a wavelength of 1.5418 Å.
Neutral-atom scattering factors, no anomalous dispersion.

Main lines, low angle first (10° ≤ 2θ ≤ 90°):
18.33°, I = 21, (1 2 0)
31.20°, I = 39, (1 3 1)
31.37°, I = 17, (2 3 0)
37.01°, I = 68, (1 4 1)
37.16°, I = 32, (2 4 0)
38.12°, I = 52, (0 0 2)
38.55°, I = 100, (3 0 1)
43.49°, I = 16, (1 5 1)
54.28°, I = 22, (2 4 2)
69.17°, I = 19, (3 0 3)

Crystal structure
a = 8.062 Å, b = 12.102 Å, c = 4.722 Å
α = 90.00°, β = 90.00°, γ = 90.00°
Space group Pnnm (No. 58)
One atom of each set of equivalent atoms:
Ho: 0.004 0.243 0.000
Ho: 0.158 0.409 0.500
Ho: 0.175 0.078 0.500
Ir: 0.000 0.000 0.000
Ir: 0.164 0.837 0.500
Ru: 0.000 0.500 0.000

=====

Starting from the GGA-PBE geometry in Alexandria, the XRD peak list of Ho6IrRu2 was computed for a wavelength of 1.5418 Å.
Neutral-atom scattering factors, no anomalous dispersion.

Main lines, low angle first (10° ≤ 2θ ≤ 90°):
13.55°, I = 24, (0 2 0)
27.30°, I = 22, (0 4 0)
33.60°, I = 100, (1 3 3)
37.70°, I = 55, (2 0 0)
43.82°, I = 41, (1 5 3)
54.38°, I = 19, (2 0 6)
65.46°, I = 29, (3 3 3)
69.78°, I = 18, (2 8 0)
72.31°, I = 18, (3 5 3)
82.13°, I = 14, (2 8 6)

Crystal structure
a = 4.769 Å, b = 13.067 Å, c = 14.324 Å
α = 90.00°, β = 90.00°, γ = 90.00°
Space group Fmmm (No. 69)
One atom of each set of equivalent atoms:
Ho: 0.000 0.128 0.000
Ho: 0.000 0.128 0.333
Ir: 0.000 0.000 0.500
Ru: 0.000 0.000 0.167

=====

Starting from the GGA-PBE geometry in Alexandria, the XRD peak list of Ho6IrS5 was computed for a wavelength of 1.5418 Å.
Neutral-atom scattering factors, no anomalous dispersion.

Main lines, low angle first (10° ≤ 2θ ≤ 90°):
27.71°, I = 32, (1 3 -1)
27.88°, I = 10, (0 0 2)
32.15°, I = 100, (2 0 -2)
46.00°, I = 37, (0 6 0)
46.22°, I = 36, (1 3 -3)
54.65°, I = 10, (0 6 2)
57.23°, I = 19, (2 6 -2)
67.26°, I = 12, (4 0 -4)
76.32°, I = 11, (5 3 -3)
76.67°, I = 16, (3 3 -5)

Crystal structure
a = 6.840 Å, b = 11.830 Å, c = 6.795 Å
α = 90.00°, β = 109.61°, γ = 90.00°
Space group C2/m (No. 12)
One atom of each set of equivalent atoms:
Ho: 0.244 0.164 0.244
Ho: 0.245 0.000 0.753
Ir: 0.000 0.000 0.000
S: 0.000 0.172 0.500
S: 0.000 0.334 0.000
S: 0.000 0.500 0.500

=====

Starting from the GGA-PBE geometry in Alexandria, the XRD peak list of Ho3SbIr was computed for a wavelength of 1.5418 Å.
Neutral-atom scattering factors, no anomalous dispersion.

Main lines, low angle first (10° ≤ 2θ ≤ 90°):
12.03°, I = 26, (0 0 1)
25.55°, I = 21, (4 0 -2)
35.01°, I = 100, (3 1 1)
35.93°, I = 96, (3 1 -3)
36.26°, I = 49, (6 0 -2)
36.60°, I = 52, (0 2 0)
52.47°, I = 34, (6 2 -2)
63.18°, I = 17, (0 2 4)
64.86°, I = 17, (3 3 1)
65.45°, I = 17, (3 3 -3)

Crystal structure
a = 14.873 Å, b = 4.911 Å, c = 8.726 Å
α = 90.00°, β = 122.56°, γ = 90.00°
Space group C2/m (No. 12)
One atom of each set of equivalent atoms:
Ho: 0.074 0.000 0.221
Ho: 0.098 0.500 0.791
Ho: 0.249 0.500 0.234
Sb: 0.147 0.500 0.486
Ir: 0.163 0.000 0.998

=====

Starting from the GGA-PBE geometry in Alexandria, the XRD peak list of Ho8Sb2Ir was computed for a wavelength of 1.5418 Å.
Neutral-atom scattering factors, no anomalous dispersion.

Main lines, low angle first (10° ≤ 2θ ≤ 90°):
28.72°, I = 21, (3 1 1)
28.87°, I = 27, (6 0 -1)
30.31°, I = 54, (5 1 0)
32.39°, I = 100, (1 1 -2)
34.32°, I = 27, (1 1 2)
34.89°, I = 28, (6 0 1)
37.01°, I = 68, (0 2 0)
38.27°, I = 33, (7 1 -1)
51.77°, I = 18, (6 2 1)
64.30°, I = 22, (7 1 3)

Crystal structure
a = 19.098 Å, b = 4.858 Å, c = 6.735 Å
α = 90.00°, β = 103.67°, γ = 90.00°
Space group C2/m (No. 12)
One atom of each set of equivalent atoms:
Ho: 0.017 0.000 0.283
Ho: 0.092 0.500 0.970
Ho: 0.145 0.500 0.513
Ho: 0.219 0.000 0.831
Sb: 0.181 0.000 0.264
Ir: 0.000 0.500 0.500